NaPrInSbO6: theoretical powder diffraction line list (copper Kα), based on a structure optimized by DFT (PBE).
Lines closer than 0.1° are merged.

Atomic structure:
```
data_NaPrInSbO6
_chemical_formula_sum 'Na4 Pr4 In4 Sb4 O24'
_cell_length_a 8.146
_cell_length_b 8.146
_cell_length_c 8.146
_cell_angle_alpha 90.00
_cell_angle_beta 90.00
_cell_angle_gamma 90.00
_space_group_name_H-M_alt 'F -4 3 m'
_space_group_IT_number 216
_space_group_name_Hall 'F -4 2 3'
loop_
_atom_site_label
_atom_site_fract_x
_atom_site_fract_y
_atom_site_fract_z
Na1 0.000 0.000 0.000
Pr1 0.000 0.000 0.500
In1 0.250 0.250 0.250
Sb1 0.250 0.250 0.750
O1 0.008 0.250 0.750
```

Principal peaks in the range 2θ = 15–90°, low angle first:
- hkl 1 1 1, 2θ = 18.87°, intensity 23
- hkl 2 0 0, 2θ = 21.82°, intensity 10
- hkl 2 2 0, 2θ = 31.05°, intensity 100
- hkl 3 1 1, 2θ = 36.59°, intensity 13
- hkl 4 0 0, 2θ = 44.49°, intensity 33
- hkl 3 3 1, 2θ = 48.73°, intensity 6
- hkl 4 2 2, 2θ = 55.25°, intensity 39
- hkl 5 1 1, 2θ = 58.91°, intensity 4
- hkl 4 4 0, 2θ = 64.74°, intensity 20
- hkl 5 3 1, 2θ = 68.10°, intensity 4
- hkl 6 2 0, 2θ = 73.53°, intensity 17
- hkl 4 4 4, 2θ = 81.94°, intensity 6